[1]
The following is a theoretical powder X-ray diffraction pattern of Na5B8C2. It was derived from a PBE-relaxed structure, using Cu Kα, 1.54184 Å.
Kinematic intensities with the Lorentz-polarization factor, no thermal factor.

Largest 6 diffraction maxima, in order of falling intensity, 10 to 90 degrees two-theta:
| Position (°2θ) | d (Å) | I (rel.) |
| --- | --- | --- |
| 41.83 | 2.160 | 100 |
| 41.89 | 2.156 | 57 |
| 40.01 | 2.253 | 55 |
| 62.15 | 1.494 | 20 |
| 36.08 | 2.489 | 19 |
| 33.95 | 2.640 | 15 |

Structure:
```
Na5B8C2
1.0
11.713 -1.411 0.000
11.713 1.411 0.000
-2.808 0.000 9.746
Na B C
10 16 4
direct
0.000 0.000 0.000
0.100 0.100 0.698
0.200 0.200 0.404
0.301 0.301 0.101
0.400 0.400 0.799
0.500 0.500 0.500
0.600 0.600 0.201
0.699 0.699 0.899
0.800 0.800 0.596
0.900 0.900 0.302
0.079 0.079 0.409
0.119 0.119 0.990
0.182 0.182 0.116
0.275 0.275 0.799
0.315 0.315 0.380
0.381 0.381 0.511
0.423 0.423 0.096
0.488 0.488 0.227
0.512 0.512 0.773
0.577 0.577 0.904
0.619 0.619 0.489
0.685 0.685 0.620
0.725 0.725 0.201
0.818 0.818 0.884
0.881 0.881 0.010
0.921 0.921 0.591
0.019 0.019 0.290
0.217 0.217 0.682
0.783 0.783 0.318
0.981 0.981 0.710
```

***

[2]
The following is a theoretical powder X-ray diffraction pattern of Na5B8C2. It was derived from a PBE-relaxed structure, using Cu Kα, 1.54184 Å.
Kinematic intensities with the Lorentz-polarization factor, no thermal factor.

Largest 6 diffraction maxima, in order of falling intensity, 10 to 90 degrees two-theta:
| Position (°2θ) | d (Å) | I (rel.) |
| --- | --- | --- |
| 41.04 | 2.199 | 100 |
| 41.55 | 2.173 | 53 |
| 41.75 | 2.164 | 38 |
| 35.14 | 2.554 | 22 |
| 63.81 | 1.459 | 17 |
| 79.19 | 1.210 | 17 |

Structure:
```
Na5B8C2
1.0
5.027 0.000 0.000
0.000 8.654 0.000
-2.511 0.000 7.413
Na B C
10 16 4
direct
0.000 0.248 0.000
0.000 0.752 0.000
0.199 0.249 0.398
0.199 0.751 0.398
0.404 0.250 0.798
0.404 0.750 0.798
0.598 0.249 0.199
0.598 0.751 0.199
0.804 0.249 0.599
0.804 0.751 0.599
0.063 0.000 0.799
0.084 0.500 0.795
0.139 0.500 0.591
0.288 0.000 0.184
0.326 0.500 0.018
0.471 0.000 0.611
0.489 0.500 0.602
0.508 0.500 0.380
0.518 0.000 0.396
0.658 0.000 0.988
0.658 0.500 0.994
0.747 0.500 0.807
0.863 0.500 0.404
0.904 0.000 0.415
0.920 0.000 0.202
0.930 0.500 0.199
0.132 0.000 0.609
0.255 0.500 0.199
0.322 0.000 0.989
0.727 0.000 0.799
```

***

[3]
The following is a theoretical powder X-ray diffraction pattern of Na5B9C. It was derived from a PBE-relaxed structure, using Cu Kα, 1.54184 Å.
Kinematic intensities with the Lorentz-polarization factor, no thermal factor.

Largest 6 diffraction maxima, in order of falling intensity, 10 to 90 degrees two-theta:
| Position (°2θ) | d (Å) | I (rel.) |
| --- | --- | --- |
| 40.56 | 2.224 | 100 |
| 40.99 | 2.202 | 51 |
| 41.58 | 2.172 | 36 |
| 34.64 | 2.590 | 21 |
| 62.72 | 1.481 | 17 |
| 78.09 | 1.224 | 17 |

Structure:
```
Na5B9C
1.0
7.511 -2.554 0.000
7.511 2.554 0.000
-3.000 0.000 8.688
Na B C
10 18 2
direct
0.000 0.500 0.000
0.096 0.603 0.499
0.200 0.700 0.000
0.300 0.800 0.500
0.397 0.904 0.001
0.500 0.000 0.500
0.603 0.096 0.999
0.700 0.200 0.500
0.800 0.300 0.000
0.904 0.397 0.501
0.014 0.189 0.750
0.088 0.912 0.750
0.112 0.282 0.250
0.189 0.014 0.250
0.231 0.368 0.751
0.282 0.112 0.750
0.341 0.478 0.250
0.368 0.231 0.251
0.478 0.341 0.750
0.522 0.659 0.250
0.632 0.769 0.749
0.659 0.522 0.750
0.718 0.888 0.250
0.769 0.632 0.249
0.811 0.986 0.750
0.888 0.718 0.750
0.912 0.088 0.250
0.986 0.811 0.250
0.408 0.592 0.750
0.592 0.408 0.250
```

***

[4]
The following is a theoretical powder X-ray diffraction pattern of Na5B8C2. It was derived from a PBE-relaxed structure, using Cu Kα, 1.54184 Å.
Kinematic intensities with the Lorentz-polarization factor, no thermal factor.

Largest 6 diffraction maxima, in order of falling intensity, 10 to 90 degrees two-theta:
| Position (°2θ) | d (Å) | I (rel.) |
| --- | --- | --- |
| 41.35 | 2.184 | 100 |
| 41.22 | 2.190 | 99 |
| 41.77 | 2.163 | 74 |
| 40.90 | 2.207 | 49 |
| 40.91 | 2.206 | 49 |
| 34.98 | 2.565 | 21 |

Structure:
```
Na5B8C2
1.0
5.130 0.000 0.000
-2.530 7.289 0.000
-0.018 -2.913 8.650
Na B C
10 16 4
direct
0.000 0.000 0.000
0.098 0.198 0.496
0.200 0.398 0.994
0.299 0.599 0.497
0.398 0.799 0.997
0.498 0.999 0.495
0.599 0.199 0.997
0.700 0.399 0.496
0.799 0.598 0.994
0.901 0.797 0.494
0.081 0.509 0.746
0.120 0.883 0.246
0.272 0.899 0.745
0.342 0.317 0.246
0.373 0.096 0.245
0.411 0.503 0.746
0.470 0.288 0.746
0.502 0.687 0.246
0.604 0.899 0.745
0.716 0.705 0.745
0.722 0.102 0.246
0.778 0.894 0.246
0.806 0.295 0.747
0.909 0.092 0.746
0.916 0.511 0.246
0.987 0.301 0.246
0.019 0.704 0.745
0.186 0.694 0.247
0.213 0.093 0.746
0.592 0.503 0.246
```

***

[5]
The following is a theoretical powder X-ray diffraction pattern of Na10B17C3. It was derived from a PBE-relaxed structure, using Cu Kα, 1.54184 Å.
Kinematic intensities with the Lorentz-polarization factor, no thermal factor.

Largest 6 diffraction maxima, in order of falling intensity, 10 to 90 degrees two-theta:
| Position (°2θ) | d (Å) | I (rel.) |
| --- | --- | --- |
| 41.66 | 2.168 | 100 |
| 41.73 | 2.164 | 57 |
| 39.62 | 2.275 | 56 |
| 61.57 | 1.506 | 21 |
| 35.95 | 2.498 | 19 |
| 33.56 | 2.670 | 16 |

Structure:
```
Na10B17C3
1.0
9.079 -1.413 0.000
9.079 1.413 0.000
-5.179 0.000 12.769
Na B C
10 17 3
direct
0.000 0.000 0.000
0.000 0.000 0.496
0.198 0.198 0.397
0.199 0.199 0.899
0.400 0.400 0.298
0.400 0.400 0.798
0.598 0.598 0.696
0.599 0.599 0.200
0.799 0.799 0.593
0.800 0.800 0.099
0.029 0.029 0.306
0.031 0.031 0.810
0.173 0.173 0.097
0.224 0.224 0.696
0.365 0.365 0.478
0.371 0.371 0.993
0.429 0.429 0.605
0.437 0.437 0.125
0.569 0.569 0.386
0.571 0.571 0.893
0.633 0.633 0.018
0.635 0.635 0.517
0.762 0.762 0.272
0.767 0.767 0.782
0.827 0.827 0.402
0.829 0.829 0.908
0.969 0.969 0.685
0.166 0.166 0.580
0.232 0.232 0.213
0.968 0.968 0.187
```

***

[6]
The following is a theoretical powder X-ray diffraction pattern of Na5B8C2. It was derived from a PBE-relaxed structure, using Cu Kα, 1.54184 Å.
Kinematic intensities with the Lorentz-polarization factor, no thermal factor.

Largest 6 diffraction maxima, in order of falling intensity, 10 to 90 degrees two-theta:
| Position (°2θ) | d (Å) | I (rel.) |
| --- | --- | --- |
| 41.11 | 2.196 | 100 |
| 41.33 | 2.185 | 52 |
| 42.13 | 2.145 | 36 |
| 35.11 | 2.556 | 20 |
| 63.31 | 1.469 | 18 |
| 79.00 | 1.212 | 17 |

Structure:
```
Na5B8C2
1.0
7.396 -2.538 0.000
7.396 2.538 0.000
-2.957 0.000 8.579
Na B C
10 16 4
direct
0.049 0.049 0.247
0.149 0.151 0.751
0.248 0.250 0.249
0.350 0.351 0.753
0.448 0.450 0.246
0.550 0.552 0.754
0.649 0.650 0.247
0.750 0.752 0.751
0.849 0.851 0.249
0.951 0.951 0.753
0.029 0.372 0.501
0.133 0.467 0.000
0.170 0.830 0.500
0.229 0.571 0.500
0.315 0.685 0.000
0.370 0.030 0.500
0.429 0.771 0.500
0.533 0.867 0.000
0.570 0.230 0.500
0.628 0.971 0.499
0.667 0.333 0.000
0.730 0.058 0.000
0.770 0.430 0.500
0.829 0.171 0.500
0.942 0.270 0.000
0.970 0.630 0.500
0.065 0.733 0.000
0.267 0.935 0.000
0.469 0.125 0.000
0.875 0.531 0.000
```

***

[7]
The following is a theoretical powder X-ray diffraction pattern of Na10B13C7. It was derived from a PBE-relaxed structure, using Cu Kα, 1.54184 Å.
Kinematic intensities with the Lorentz-polarization factor, no thermal factor.

Largest 6 diffraction maxima, in order of falling intensity, 10 to 90 degrees two-theta:
| Position (°2θ) | d (Å) | I (rel.) |
| --- | --- | --- |
| 42.28 | 2.137 | 100 |
| 41.43 | 2.179 | 36 |
| 36.38 | 2.470 | 13 |
| 64.22 | 1.450 | 12 |
| 79.96 | 1.200 | 12 |
| 77.34 | 1.234 | 10 |

Structure:
```
Na10B13C7
1.0
8.913 -1.414 0.000
8.913 1.414 0.000
-5.306 0.000 12.146
Na B C
10 13 7
direct
0.000 0.000 0.000
0.001 0.001 0.500
0.198 0.198 0.403
0.200 0.200 0.900
0.399 0.399 0.801
0.402 0.402 0.301
0.599 0.599 0.200
0.602 0.602 0.699
0.798 0.798 0.603
0.801 0.801 0.101
0.030 0.030 0.313
0.167 0.167 0.587
0.169 0.169 0.089
0.235 0.235 0.220
0.239 0.239 0.730
0.370 0.370 0.491
0.434 0.434 0.119
0.559 0.559 0.868
0.627 0.627 0.506
0.628 0.628 0.005
0.778 0.778 0.306
0.838 0.838 0.924
0.964 0.964 0.679
0.028 0.028 0.807
0.370 0.370 0.987
0.433 0.433 0.618
0.562 0.562 0.377
0.771 0.771 0.793
0.839 0.839 0.428
0.966 0.966 0.183
```

***

[8]
The following is a theoretical powder X-ray diffraction pattern of Na5B8C2. It was derived from a PBE-relaxed structure, using Cu Kα, 1.54184 Å.
Kinematic intensities with the Lorentz-polarization factor, no thermal factor.

Largest 6 diffraction maxima, in order of falling intensity, 10 to 90 degrees two-theta:
| Position (°2θ) | d (Å) | I (rel.) |
| --- | --- | --- |
| 41.90 | 2.156 | 100 |
| 39.96 | 2.256 | 49 |
| 41.64 | 2.169 | 38 |
| 62.17 | 1.493 | 17 |
| 36.15 | 2.485 | 16 |
| 77.63 | 1.230 | 16 |

Structure:
```
Na5B8C2
1.0
9.070 -1.408 0.000
9.070 1.408 0.000
-5.218 0.000 12.634
Na B C
10 16 4
direct
0.000 0.000 0.000
0.000 0.000 0.500
0.200 0.200 0.400
0.200 0.200 0.902
0.400 0.400 0.296
0.400 0.400 0.801
0.600 0.600 0.199
0.600 0.600 0.704
0.800 0.800 0.098
0.800 0.800 0.600
0.031 0.031 0.310
0.033 0.033 0.818
0.177 0.177 0.606
0.233 0.233 0.215
0.358 0.358 0.968
0.364 0.364 0.478
0.426 0.426 0.101
0.426 0.426 0.604
0.574 0.574 0.396
0.574 0.574 0.899
0.636 0.636 0.522
0.642 0.642 0.032
0.767 0.767 0.785
0.823 0.823 0.394
0.967 0.967 0.182
0.969 0.969 0.690
0.173 0.173 0.093
0.236 0.236 0.723
0.764 0.764 0.277
0.827 0.827 0.907
```

***

[9]
The following is a theoretical powder X-ray diffraction pattern of Na10B13C7. It was derived from a PBE-relaxed structure, using Cu Kα, 1.54184 Å.
Kinematic intensities with the Lorentz-polarization factor, no thermal factor.

Largest 6 diffraction maxima, in order of falling intensity, 10 to 90 degrees two-theta:
| Position (°2θ) | d (Å) | I (rel.) |
| --- | --- | --- |
| 41.97 | 2.153 | 100 |
| 42.19 | 2.142 | 50 |
| 42.34 | 2.135 | 38 |
| 80.80 | 1.189 | 22 |
| 36.03 | 2.493 | 18 |
| 65.11 | 1.433 | 17 |

Structure:
```
Na10B13C7
1.0
7.212 -2.476 0.000
7.212 2.476 0.000
-5.771 0.000 8.538
Na B C
10 13 7
direct
0.001 0.001 0.253
0.200 0.196 0.746
0.201 0.201 0.252
0.396 0.401 0.747
0.404 0.400 0.254
0.599 0.604 0.253
0.600 0.596 0.746
0.799 0.799 0.748
0.804 0.800 0.254
0.999 0.999 0.747
0.035 0.366 0.500
0.166 0.834 0.000
0.232 0.567 0.000
0.234 0.565 0.499
0.370 0.042 0.000
0.433 0.768 0.000
0.435 0.766 0.501
0.571 0.212 0.000
0.634 0.965 0.500
0.788 0.429 0.000
0.815 0.185 0.000
0.835 0.165 0.500
0.958 0.630 0.000
0.043 0.361 0.000
0.168 0.832 0.500
0.368 0.032 0.501
0.568 0.232 0.499
0.639 0.957 0.000
0.768 0.432 0.501
0.968 0.632 0.499
```